No. 1
Diffraction record for Li2CdPb5. The X-ray powder pattern is simulated, not measured: it uses a DFT-relaxed cell (GGA-PBE, Alexandria) and copper Kα.

Crystal structure
```
data_Li2CdPb5
_chemical_formula_sum 'Li4 Cd2 Pb10'
_cell_length_a 6.696
_cell_length_b 9.294
_cell_length_c 7.010
_cell_angle_alpha 90.00
_cell_angle_beta 90.00
_cell_angle_gamma 90.00
_symmetry_space_group_name_H-M 'P 1'
_symmetry_Int_Tables_number 1
_symmetry_space_group_name_Hall 'P 1'
loop_
_atom_site_label
_atom_site_fract_x
_atom_site_fract_y
_atom_site_fract_z
Li1 0.000 0.000 0.000
Li2 0.000 0.000 0.498
Li3 0.500 0.500 0.500
Li4 0.500 0.500 0.998
Cd1 0.000 0.500 0.500
Cd2 0.500 0.000 0.000
Pb1 0.000 0.500 0.998
Pb2 0.250 0.249 0.749
Pb3 0.250 0.251 0.249
Pb4 0.250 0.749 0.249
Pb5 0.250 0.751 0.749
Pb6 0.500 0.000 0.498
Pb7 0.750 0.249 0.749
Pb8 0.750 0.251 0.249
Pb9 0.750 0.749 0.249
Pb10 0.750 0.751 0.749
```

Main lines, low angle first (10 to 90 degrees two-theta):
two_theta  d (Å)  I_rel
16.32  5.433  36
19.10  4.647  31
26.62  3.349  16
30.35  2.945  17
31.98  2.798  100
32.97  2.716  92
37.14  2.421  68
38.76  2.323  30
42.08  2.147  18
54.77  1.676  56
63.13  1.473  29
64.91  1.437  27

No. 2
Diffraction record for Li2Cd2Pb. The X-ray powder pattern is simulated, not measured: it uses a DFT-relaxed cell (GGA-PBE, Alexandria) and copper Kα.

Crystal structure
```
data_Li2Cd2Pb
_chemical_formula_sum 'Li4 Cd4 Pb2'
_cell_length_a 15.097
_cell_length_b 15.097
_cell_length_c 15.097
_cell_angle_alpha 168.10
_cell_angle_beta 161.88
_cell_angle_gamma 21.73
_symmetry_space_group_name_H-M 'P 1'
_symmetry_Int_Tables_number 1
_symmetry_space_group_name_Hall 'P 1'
loop_
_atom_site_label
_atom_site_fract_x
_atom_site_fract_y
_atom_site_fract_z
Li1 0.275 0.025 0.250
Li2 0.367 0.117 0.250
Li3 0.633 0.883 0.750
Li4 0.725 0.975 0.750
Cd1 0.076 0.826 0.250
Cd2 0.456 0.706 0.750
Cd3 0.544 0.294 0.250
Cd4 0.924 0.174 0.750
Pb1 0.180 0.430 0.750
Pb2 0.820 0.570 0.250
```

Main lines, low angle first (10 to 90 degrees two-theta):
two_theta  d (Å)  I_rel
20.74  4.284  76
24.01  3.707  51
35.66  2.518  35
36.44  2.466  100
37.86  2.377  25
38.39  2.345  38
45.33  2.001  18
50.84  1.796  13
52.98  1.728  23
54.93  1.671  13
67.44  1.389  16
68.67  1.367  20

No. 3
Diffraction record for Li2Cd3Pb3. The X-ray powder pattern is simulated, not measured: it uses a DFT-relaxed cell (GGA-PBE, Alexandria) and copper Kα.

Crystal structure
```
data_Li2Cd3Pb3
_chemical_formula_sum 'Li2 Cd3 Pb3'
_cell_length_a 5.894
_cell_length_b 5.894
_cell_length_c 5.894
_cell_angle_alpha 89.31
_cell_angle_beta 89.31
_cell_angle_gamma 89.31
_symmetry_space_group_name_H-M 'P 1'
_symmetry_Int_Tables_number 1
_symmetry_space_group_name_Hall 'P 1'
loop_
_atom_site_label
_atom_site_fract_x
_atom_site_fract_y
_atom_site_fract_z
Li1 0.248 0.248 0.248
Li2 0.752 0.752 0.752
Cd1 0.269 0.500 0.731
Cd2 0.500 0.731 0.269
Cd3 0.731 0.269 0.500
Pb1 0.000 0.752 0.248
Pb2 0.248 0.000 0.752
Pb3 0.752 0.248 0.000
```

Main lines, low angle first (10 to 90 degrees two-theta):
two_theta  d (Å)  I_rel
21.19  4.192  43
21.45  4.143  41
30.33  2.947  16
33.85  2.648  88
34.18  2.623  100
37.45  2.401  27
48.69  1.870  12
54.12  1.695  26
55.95  1.644  24
56.62  1.626  19
63.10  1.473  17
73.95  1.282  12

No. 4
Diffraction record for Li5CdPb6. The X-ray powder pattern is simulated, not measured: it uses a DFT-relaxed cell (GGA-PBE, Alexandria) and copper Kα.

Crystal structure
```
data_Li5CdPb6
_chemical_formula_sum 'Li5 Cd1 Pb6'
_cell_length_a 8.035
_cell_length_b 8.035
_cell_length_c 7.326
_cell_angle_alpha 90.00
_cell_angle_beta 90.00
_cell_angle_gamma 143.04
_symmetry_space_group_name_H-M 'P 1'
_symmetry_Int_Tables_number 1
_symmetry_space_group_name_Hall 'P 1'
loop_
_atom_site_label
_atom_site_fract_x
_atom_site_fract_y
_atom_site_fract_z
Li1 0.000 0.000 0.000
Li2 0.337 0.663 0.000
Li3 0.337 0.663 0.500
Li4 0.663 0.337 0.000
Li5 0.663 0.337 0.500
Cd1 0.000 0.000 0.500
Pb1 0.171 0.829 0.249
Pb2 0.171 0.829 0.751
Pb3 0.500 0.500 0.241
Pb4 0.500 0.500 0.759
Pb5 0.829 0.171 0.249
Pb6 0.829 0.171 0.751
```

Main lines, low angle first (10 to 90 degrees two-theta):
two_theta  d (Å)  I_rel
24.30  3.663  39
24.75  3.597  75
34.96  2.567  100
35.28  2.544  49
43.30  2.089  35
50.76  1.799  17
56.37  1.632  16
57.04  1.615  16
62.48  1.486  19
63.05  1.474  19
63.18  1.472  18
73.84  1.283  12

No. 5
Diffraction record for Li7Cd3Pb. The X-ray powder pattern is simulated, not measured: it uses a DFT-relaxed cell (GGA-PBE, Alexandria) and copper Kα.

Crystal structure
```
data_Li7Cd3Pb
_chemical_formula_sum 'Li14 Cd6 Pb2'
_cell_length_a 9.705
_cell_length_b 9.705
_cell_length_c 14.708
_cell_angle_alpha 90.00
_cell_angle_beta 90.00
_cell_angle_gamma 161.16
_symmetry_space_group_name_H-M 'P 1'
_symmetry_Int_Tables_number 1
_symmetry_space_group_name_Hall 'P 1'
loop_
_atom_site_label
_atom_site_fract_x
_atom_site_fract_y
_atom_site_fract_z
Li1 0.070 0.930 0.580
Li2 0.070 0.930 0.920
Li3 0.077 0.923 0.150
Li4 0.077 0.923 0.350
Li5 0.153 0.847 0.750
Li6 0.266 0.734 0.128
Li7 0.266 0.734 0.372
Li8 0.734 0.266 0.628
Li9 0.734 0.266 0.872
Li10 0.847 0.153 0.250
Li11 0.923 0.077 0.650
Li12 0.923 0.077 0.850
Li13 0.930 0.070 0.080
Li14 0.930 0.070 0.420
Cd1 0.313 0.687 0.750
Cd2 0.336 0.664 0.535
Cd3 0.336 0.664 0.965
Cd4 0.664 0.336 0.035
Cd5 0.664 0.336 0.465
Cd6 0.687 0.313 0.250
Pb1 0.472 0.528 0.250
Pb2 0.528 0.472 0.750
```

Main lines, low angle first (10 to 90 degrees two-theta):
two_theta  d (Å)  I_rel
15.19  5.832  92
19.50  4.552  100
22.16  4.012  66
24.21  3.677  77
27.96  3.191  40
28.48  3.134  60
33.79  2.652  53
35.83  2.506  53
36.74  2.446  42
37.30  2.411  66
37.72  2.385  53
48.41  1.880  33

No. 6
Diffraction record for Li3Cd3Pb. The X-ray powder pattern is simulated, not measured: it uses a DFT-relaxed cell (GGA-PBE, Alexandria) and copper Kα.

Crystal structure
```
data_Li3Cd3Pb
_chemical_formula_sum 'Li6 Cd6 Pb2'
_cell_length_a 10.450
_cell_length_b 10.450
_cell_length_c 10.450
_cell_angle_alpha 33.95
_cell_angle_beta 33.95
_cell_angle_gamma 33.95
_symmetry_space_group_name_H-M 'P 1'
_symmetry_Int_Tables_number 1
_symmetry_space_group_name_Hall 'P 1'
loop_
_atom_site_label
_atom_site_fract_x
_atom_site_fract_y
_atom_site_fract_z
Li1 0.211 0.211 0.709
Li2 0.211 0.709 0.211
Li3 0.291 0.789 0.789
Li4 0.709 0.211 0.211
Li5 0.789 0.291 0.789
Li6 0.789 0.789 0.291
Cd1 0.127 0.625 0.625
Cd2 0.375 0.375 0.873
Cd3 0.375 0.873 0.375
Cd4 0.625 0.127 0.625
Cd5 0.625 0.625 0.127
Cd6 0.873 0.375 0.375
Pb1 0.295 0.295 0.295
Pb2 0.705 0.705 0.705
```

Main lines, low angle first (10 to 90 degrees two-theta):
two_theta  d (Å)  I_rel
17.04  5.202  59
17.83  4.976  74
20.67  4.297  79
29.53  3.025  48
30.68  2.914  80
36.10  2.488  30
36.53  2.460  49
37.28  2.412  93
40.30  2.238  100
55.57  1.654  31
60.70  1.526  33
72.97  1.297  38

No. 7
Diffraction record for Li2TbCd2Pb2. The X-ray powder pattern is simulated, not measured: it uses a DFT-relaxed cell (GGA-PBE, Alexandria) and copper Kα.

Crystal structure
```
data_Li2TbCd2Pb2
_chemical_formula_sum 'Li4 Tb2 Cd4 Pb4'
_cell_length_a 8.285
_cell_length_b 4.767
_cell_length_c 8.815
_cell_angle_alpha 90.00
_cell_angle_beta 107.92
_cell_angle_gamma 90.00
_symmetry_space_group_name_H-M 'P 1'
_symmetry_Int_Tables_number 1
_symmetry_space_group_name_Hall 'P 1'
loop_
_atom_site_label
_atom_site_fract_x
_atom_site_fract_y
_atom_site_fract_z
Li1 0.143 0.000 0.430
Li2 0.357 0.500 0.570
Li3 0.643 0.500 0.430
Li4 0.857 0.000 0.570
Tb1 0.000 0.000 0.000
Tb2 0.500 0.500 0.000
Cd1 0.058 0.500 0.672
Cd2 0.442 0.000 0.328
Cd3 0.558 0.000 0.672
Cd4 0.942 0.500 0.328
Pb1 0.231 0.500 0.196
Pb2 0.269 0.000 0.804
Pb3 0.731 0.000 0.196
Pb4 0.769 0.500 0.804
```

Main lines, low angle first (10 to 90 degrees two-theta):
two_theta  d (Å)  I_rel
10.55  8.388  25
21.18  4.194  14
25.78  3.455  100
32.98  2.716  51
33.09  2.707  25
37.64  2.389  55
37.74  2.383  27
45.37  1.999  24
46.30  1.961  14
51.06  1.789  15
61.05  1.518  13
65.14  1.432  14

No. 8
Diffraction record for Li6CdPd. The X-ray powder pattern is simulated, not measured: it uses a DFT-relaxed cell (GGA-PBE, Alexandria) and copper Kα.

Crystal structure
```
data_Li6CdPd
_chemical_formula_sum 'Li24 Cd4 Pd4'
_cell_length_a 7.315
_cell_length_b 7.315
_cell_length_c 12.771
_cell_angle_alpha 90.00
_cell_angle_beta 90.00
_cell_angle_gamma 129.28
_symmetry_space_group_name_H-M 'P 1'
_symmetry_Int_Tables_number 1
_symmetry_space_group_name_Hall 'P 1'
loop_
_atom_site_label
_atom_site_fract_x
_atom_site_fract_y
_atom_site_fract_z
Li1 0.000 0.000 0.000
Li2 0.000 0.000 0.500
Li3 0.134 0.396 0.115
Li4 0.134 0.396 0.885
Li5 0.147 0.384 0.362
Li6 0.147 0.384 0.638
Li7 0.245 0.755 0.239
Li8 0.245 0.755 0.761
Li9 0.384 0.147 0.362
Li10 0.384 0.147 0.638
Li11 0.396 0.134 0.115
Li12 0.396 0.134 0.885
Li13 0.500 0.500 0.000
Li14 0.500 0.500 0.500
Li15 0.604 0.866 0.115
Li16 0.604 0.866 0.885
Li17 0.616 0.853 0.362
Li18 0.616 0.853 0.638
Li19 0.755 0.245 0.239
Li20 0.755 0.245 0.761
Li21 0.853 0.616 0.362
Li22 0.853 0.616 0.638
Li23 0.866 0.604 0.115
Li24 0.866 0.604 0.885
Cd1 0.000 0.000 0.234
Cd2 0.000 0.000 0.766
Cd3 0.243 0.757 0.500
Cd4 0.757 0.243 0.500
Pd1 0.243 0.757 0.000
Pd2 0.500 0.500 0.231
Pd3 0.500 0.500 0.769
Pd4 0.757 0.243 0.000
```

Main lines, low angle first (10 to 90 degrees two-theta):
two_theta  d (Å)  I_rel
19.33  4.592  100
26.98  3.305  23
27.95  3.193  19
28.49  3.133  20
34.66  2.588  46
39.23  2.296  21
39.64  2.274  23
40.33  2.236  20
43.45  2.083  12
49.19  1.852  15
52.78  1.735  13
53.89  1.701  10

No. 9
Diffraction record for Li4Cd2Pd. The X-ray powder pattern is simulated, not measured: it uses a DFT-relaxed cell (GGA-PBE, Alexandria) and copper Kα.

Crystal structure
```
data_Li4Cd2Pd
_chemical_formula_sum 'Li4 Cd2 Pd1'
_cell_length_a 5.721
_cell_length_b 5.650
_cell_length_c 5.644
_cell_angle_alpha 60.87
_cell_angle_beta 59.62
_cell_angle_gamma 59.51
_symmetry_space_group_name_H-M 'P 1'
_symmetry_Int_Tables_number 1
_symmetry_space_group_name_Hall 'P 1'
loop_
_atom_site_label
_atom_site_fract_x
_atom_site_fract_y
_atom_site_fract_z
Li1 0.209 0.791 0.209
Li2 0.310 0.728 0.690
Li3 0.728 0.310 0.272
Li4 0.791 0.209 0.791
Cd1 0.259 0.259 0.241
Cd2 0.759 0.759 0.741
Pd1 0.258 0.258 0.742
```

Main lines, low angle first (10 to 90 degrees two-theta):
two_theta  d (Å)  I_rel
19.17  4.629  57
21.95  4.048  100
31.72  2.821  81
36.94  2.433  22
38.91  2.315  99
44.81  2.023  33
46.08  1.970  15
50.47  1.808  21
51.60  1.771  20
55.90  1.645  30
66.22  1.411  19
70.72  1.332  15

No. 10
Diffraction record for Li12Cd5Pd2. The X-ray powder pattern is simulated, not measured: it uses a DFT-relaxed cell (GGA-PBE, Alexandria) and copper Kα.

Crystal structure
```
data_Li12Cd5Pd2
_chemical_formula_sum 'Li12 Cd5 Pd2'
_cell_length_a 7.437
_cell_length_b 7.437
_cell_length_c 6.890
_cell_angle_alpha 90.56
_cell_angle_beta 90.56
_cell_angle_gamma 62.46
_symmetry_space_group_name_H-M 'P 1'
_symmetry_Int_Tables_number 1
_symmetry_space_group_name_Hall 'P 1'
loop_
_atom_site_label
_atom_site_fract_x
_atom_site_fract_y
_atom_site_fract_z
Li1 0.049 0.049 0.309
Li2 0.084 0.669 0.316
Li3 0.164 0.543 0.764
Li4 0.331 0.916 0.684
Li5 0.418 0.418 0.109
Li6 0.457 0.836 0.236
Li7 0.543 0.164 0.764
Li8 0.582 0.582 0.891
Li9 0.669 0.084 0.316
Li10 0.836 0.457 0.236
Li11 0.916 0.331 0.684
Li12 0.951 0.951 0.691
Cd1 0.198 0.198 0.004
Cd2 0.259 0.259 0.444
Cd3 0.500 0.500 0.500
Cd4 0.741 0.741 0.556
Cd5 0.802 0.802 0.996
Pd1 0.185 0.815 0.000
Pd2 0.815 0.185 0.000
```

Main lines, low angle first (10 to 90 degrees two-theta):
two_theta  d (Å)  I_rel
18.57  4.778  100
18.68  4.750  30
23.07  3.856  40
25.86  3.445  87
27.04  3.297  58
28.07  3.179  48
34.93  2.569  25
35.69  2.516  28
38.80  2.321  45
39.40  2.287  42
41.56  2.173  27
49.33  1.847  27

No. 11
Diffraction record for Li2Cd9Pd. The X-ray powder pattern is simulated, not measured: it uses a DFT-relaxed cell (GGA-PBE, Alexandria) and copper Kα.

Crystal structure
```
data_Li2Cd9Pd
_chemical_formula_sum 'Li2 Cd9 Pd1'
_cell_length_a 8.014
_cell_length_b 8.014
_cell_length_c 4.487
_cell_angle_alpha 105.20
_cell_angle_beta 105.20
_cell_angle_gamma 109.62
_symmetry_space_group_name_H-M 'P 1'
_symmetry_Int_Tables_number 1
_symmetry_space_group_name_Hall 'P 1'
loop_
_atom_site_label
_atom_site_fract_x
_atom_site_fract_y
_atom_site_fract_z
Li1 0.176 0.824 0.000
Li2 0.824 0.176 0.000
Cd1 0.065 0.394 0.726
Cd2 0.210 0.210 0.201
Cd3 0.341 0.659 0.500
Cd4 0.394 0.065 0.726
Cd5 0.500 0.500 0.000
Cd6 0.606 0.935 0.274
Cd7 0.659 0.341 0.500
Cd8 0.790 0.790 0.799
Cd9 0.935 0.606 0.274
Pd1 0.000 0.000 0.500
```

Main lines, low angle first (10 to 90 degrees two-theta):
two_theta  d (Å)  I_rel
33.39  2.684  14
35.64  2.519  100
36.50  2.462  97
40.22  2.242  39
41.36  2.183  36
44.04  2.056  22
59.06  1.564  24
62.00  1.497  15
69.59  1.351  13
71.21  1.324  13
71.70  1.316  12
72.24  1.308  12

No. 12
Diffraction record for Li2Cd7Pd. The X-ray powder pattern is simulated, not measured: it uses a DFT-relaxed cell (GGA-PBE, Alexandria) and copper Kα.

Crystal structure
```
data_Li2Cd7Pd
_chemical_formula_sum 'Li2 Cd7 Pd1'
_cell_length_a 4.658
_cell_length_b 4.658
_cell_length_c 11.318
_cell_angle_alpha 90.00
_cell_angle_beta 90.00
_cell_angle_gamma 120.00
_symmetry_space_group_name_H-M 'P 1'
_symmetry_Int_Tables_number 1
_symmetry_space_group_name_Hall 'P 1'
loop_
_atom_site_label
_atom_site_fract_x
_atom_site_fract_y
_atom_site_fract_z
Li1 0.000 0.000 0.000
Li2 0.333 0.667 0.591
Cd1 0.000 0.000 0.255
Cd2 0.000 0.000 0.702
Cd3 0.333 0.667 0.094
Cd4 0.333 0.667 0.354
Cd5 0.333 0.667 0.828
Cd6 0.667 0.333 0.476
Cd7 0.667 0.333 0.938
Pd1 0.667 0.333 0.193
```

Main lines, low angle first (10 to 90 degrees two-theta):
two_theta  d (Å)  I_rel
23.41  3.799  11
27.15  3.285  56
32.50  2.755  42
38.66  2.329  100
38.88  2.316  82
47.88  1.900  11
51.37  1.779  11
55.99  1.642  27
61.82  1.501  11
66.09  1.414  12
69.97  1.345  16
70.12  1.342  27